1.
Theoretical XRD peak list of HoBe6Au6 for copper Kα, from the PBE geometry in Alexandria.
Intensities are scaled so that the largest is 100.

Crystal structure
```
13
Lattice="-2.442 4.272 4.391 2.442 -4.272 4.391 2.442 4.272 -4.391" Properties=species:S:1:pos:R:3 pbc="T T T"
Ho 0.000 0.000 0.000
Be 1.221 2.136 -2.195
Be 1.221 -2.136 2.195
Be 2.442 2.046 0.000
Be -1.221 2.136 2.195
Be 1.221 2.136 2.195
Be 0.000 2.227 4.391
Au 2.442 0.000 1.562
Au 0.000 2.837 0.000
Au 0.000 0.000 3.000
Au 0.000 0.000 5.782
Au 0.000 5.708 0.000
Au 0.000 4.272 2.829
```

Principal peaks in the range 2θ = 15–90°, low angle first:
| 2θ (°) | intensity |
| --- | --- |
| 20.8 | 60 |
| 29.6 | 32 |
| 35.8 | 100 |
| 36.8 | 47 |
| 41.7 | 42 |
| 42.1 | 30 |
| 42.6 | 20 |
| 47.6 | 21 |
| 65.6 | 26 |
| 77.0 | 23 |

=====

2.
Theoretical XRD peak list of Ac4Pr2Sb3N2 for copper Kα, from the PBE geometry in Alexandria.
Intensities are scaled so that the largest is 100.

Crystal structure
```
11
Lattice="-2.523 2.523 13.527 2.523 -2.523 13.527 2.523 2.523 -13.527" Properties=species:S:1:pos:R:3 pbc="T T T"
Ac 2.523 0.000 2.282
Ac 2.523 0.000 11.245
Ac 0.000 2.523 2.282
Ac 0.000 2.523 11.245
Pr 0.000 0.000 5.280
Pr 0.000 0.000 21.775
Sb 0.000 0.000 8.648
Sb 0.000 0.000 13.527
Sb 0.000 0.000 18.407
N 0.000 0.000 2.975
N 0.000 0.000 24.080
```

Principal peaks in the range 2θ = 15–90°, low angle first:
| 2θ (°) | intensity |
| --- | --- |
| 25.8 | 45 |
| 26.4 | 13 |
| 28.3 | 25 |
| 32.0 | 100 |
| 33.1 | 12 |
| 35.6 | 51 |
| 44.8 | 13 |
| 49.4 | 16 |
| 51.2 | 18 |
| 61.7 | 34 |

=====

3.
Theoretical XRD peak list of TeI2 for copper Kα, from the PBE geometry in Alexandria.
Intensities are scaled so that the largest is 100.

Crystal structure
```
6
Lattice="7.192 0.000 0.000 0.000 4.418 0.000 -2.250 0.000 7.978" Properties=species:S:1:pos:R:3 pbc="T T T"
Te -0.244 0.000 3.456
Te 5.186 2.209 4.523
I -0.837 2.241 7.080
I 2.039 2.265 2.219
I 2.903 0.056 5.759
I 5.779 0.032 0.898
```

Principal peaks in the range 2θ = 15–90°, low angle first:
| 2θ (°) | intensity |
| --- | --- |
| 23.9 | 19 |
| 24.9 | 100 |
| 25.1 | 26 |
| 28.7 | 47 |
| 32.4 | 23 |
| 37.1 | 20 |
| 39.5 | 47 |
| 40.9 | 20 |
| 48.5 | 25 |
| 50.7 | 28 |